1.
Structure and calculated X-ray diffraction stick pattern of Na2Lu2B2TeO10 (a cell relaxed with GGA-PBE; Cu Kα).

Main lines, in order of falling intensity (2θ from 10° to 80°):
| hkl | 2θ/deg | d (Å) | intensity |
| --- | --- | --- | --- |
| 1 0 0 | 14.45 | 6.129 | 100 |
| 0 3 1 | 30.42 | 2.938 | 64 |
| 1 1 0 | 17.03 | 5.208 | 42 |
| 0 0 2 | 27.40 | 3.255 | 40 |
| 2 1 0 | 30.55 | 2.927 | 39 |
| 1 3 -1 | 32.37 | 2.766 | 38 |
| 1 3 1 | 35.26 | 2.545 | 28 |
| 1 0 -2 | 27.86 | 3.202 | 27 |
| 2 2 -1 | 34.46 | 2.603 | 23 |
| 0 3 3 | 50.36 | 1.812 | 21 |

Crystal structure
a = 6.304 Å, b = 9.878 Å, c = 6.697 Å
α = 90.00°, β = 103.53°, γ = 90.00°
Atoms (fractional coordinates):
Na: 0.083 0.111 0.168
Na: 0.083 0.389 0.668
Na: 0.917 0.611 0.332
Na: 0.917 0.889 0.832
Lu: 0.373 0.665 0.977
Lu: 0.373 0.835 0.477
Lu: 0.627 0.165 0.523
Lu: 0.627 0.335 0.023
B: 0.162 0.100 0.626
B: 0.162 0.400 0.126
B: 0.838 0.600 0.874
B: 0.838 0.900 0.374
Te: 0.500 0.000 0.000
Te: 0.500 0.500 0.500
O: 0.025 0.670 0.949
O: 0.025 0.830 0.449
O: 0.208 0.066 0.838
O: 0.208 0.434 0.338
O: 0.305 0.062 0.508
O: 0.305 0.438 0.008
O: 0.335 0.617 0.638
O: 0.335 0.883 0.138
O: 0.500 0.153 0.181
O: 0.500 0.347 0.681
O: 0.500 0.653 0.319
O: 0.500 0.847 0.819
O: 0.665 0.117 0.862
O: 0.665 0.383 0.362
O: 0.695 0.562 0.992
O: 0.695 0.938 0.492
O: 0.792 0.566 0.662
O: 0.792 0.934 0.162
O: 0.975 0.170 0.551
O: 0.975 0.330 0.051

2.
Structure and calculated X-ray diffraction stick pattern of Lu3Ni7B2 (a cell relaxed with GGA-PBE; Cu Kα).

Main lines, in order of falling intensity (2θ from 10° to 80°):
| hkl | 2θ/deg | d (Å) | intensity |
| --- | --- | --- | --- |
| 1 0 5 | 38.04 | 2.365 | 100 |
| 1 1 4 | 44.49 | 2.037 | 87 |
| 2 0 1 | 42.38 | 2.133 | 64 |
| 1 1 0 | 36.05 | 2.491 | 49 |
| 0 0 10 | 66.13 | 1.413 | 45 |
| 2 0 9 | 74.74 | 1.270 | 28 |
| 2 2 0 | 76.47 | 1.246 | 23 |
| 2 0 0 | 41.87 | 2.158 | 22 |
| 3 0 4 | 70.71 | 1.332 | 21 |
| 1 0 4 | 32.75 | 2.735 | 21 |

Crystal structure
a = 4.983 Å, b = 4.983 Å, c = 14.141 Å
α = 90.00°, β = 90.00°, γ = 120.00°
Atoms (fractional coordinates):
Lu: 0.333 0.667 0.033
Lu: 0.333 0.667 0.250
Lu: 0.333 0.667 0.467
Lu: 0.667 0.333 0.533
Lu: 0.667 0.333 0.750
Lu: 0.667 0.333 0.967
Ni: 0.000 0.000 0.000
Ni: 0.000 0.000 0.500
Ni: 0.166 0.332 0.648
Ni: 0.166 0.332 0.852
Ni: 0.166 0.834 0.648
Ni: 0.166 0.834 0.852
Ni: 0.332 0.166 0.148
Ni: 0.332 0.166 0.352
Ni: 0.668 0.834 0.648
Ni: 0.668 0.834 0.852
Ni: 0.834 0.166 0.148
Ni: 0.834 0.166 0.352
Ni: 0.834 0.668 0.148
Ni: 0.834 0.668 0.352
B: 0.000 0.000 0.250
B: 0.000 0.000 0.750
B: 0.333 0.667 0.750
B: 0.667 0.333 0.250